Structure and simulated X-ray diffraction stick pattern of YZnPO (a DFT-relaxed cell (GGA-PBE, the Materials Project); CuKα).
No peak broadening, texture or thermal motion is included.

Largest 10 diffraction maxima, sorted by position, 10° ≤ 2θ ≤ 90°:
2theta	I/Imax	index
26.99	36	0 1 2
28.87	91	1 0 4
30.20	76	0 1 5
33.53	40	1 0 7
35.32	41	0 0 12
39.79	66	1 0 10
42.14	16	0 1 11
46.48	100	1 1 0
55.33	28	1 0 16
59.70	49	1 1 12

Structural model:
```
data_YZnPO
_chemical_formula_sum 'Y6 Zn6 P6 O6'
_space_group_name_H-M_alt 'R -3 m'
_space_group_IT_number 166
_space_group_name_Hall '-R 3 2"'
_cell_length_a 3.9076
_cell_length_b 3.9076
_cell_length_c 30.4913
_cell_angle_alpha 90.00
_cell_angle_beta 90.00
_cell_angle_gamma 120.00
loop_
_atom_site_label
_atom_site_type_symbol
_atom_site_fract_x
_atom_site_fract_y
_atom_site_fract_z
Y1 Y 0.0000 0.0000 0.1202
Zn1 Zn 0.0000 0.0000 0.3038
P1 P 0.0000 0.0000 0.3881
O1 O 0.0000 0.0000 0.1947
```

=====

Structure and simulated X-ray diffraction stick pattern of ZnP2O10 (a DFT-relaxed cell (GGA-PBE, the Materials Project); CuKα).
No peak broadening, texture or thermal motion is included.

Largest 10 diffraction maxima, sorted by position, 10° ≤ 2θ ≤ 90°:
2theta	I/Imax	index
15.71	51	0 1 1
17.99	49	1 1 -1
19.58	63	1 0 0
27.70	100	1 2 -2
30.85	61	1 1 1
31.30	19	1 1 -3
31.44	23	0 3 1
32.27	26	2 1 -2
34.52	45	2 1 -1
36.44	26	2 2 -2

Structural model:
```
data_ZnP2O10
_chemical_formula_sum 'Zn2 P4 O20'
_space_group_name_H-M_alt 'P 1 21/c 1'
_space_group_IT_number 14
_cell_length_a 5.8124
_cell_length_b 9.3191
_cell_length_c 9.0879
_cell_angle_alpha 90.00
_cell_angle_beta 128.74
_cell_angle_gamma 90.00
loop_
_space_group_symop_operation_xyz
'x,y,z'
'-x,-y,-z'
'-x,y+1/2,-z+1/2'
'x,-y+1/2,z+1/2'
loop_
_atom_site_label
_atom_site_type_symbol
_atom_site_fract_x
_atom_site_fract_y
_atom_site_fract_z
Zn1 Zn 0.0000 0.0000 0.0000
P1 P 0.1390 0.2174 0.3370
O1 O 0.0091 0.6682 0.3620
O2 O 0.0545 0.1347 0.8530
O3 O 0.2956 0.6210 0.1801
O4 O 0.3677 0.1320 0.5026
O5 O 0.4085 0.5084 0.2688
```

=====

Structure and simulated X-ray diffraction stick pattern of ZnP2O5 (a DFT-relaxed cell (GGA-PBE, the Materials Project); CuKα).
No peak broadening, texture or thermal motion is included.

Largest 10 diffraction maxima, sorted by position, 10° ≤ 2θ ≤ 90°:
2theta	I/Imax	index
14.44	100	0 1 1
17.59	99	1 1 -1
19.09	54	1 0 -2
22.35	22	1 1 -2
25.79	27	1 1 2
28.27	29	1 2 1
29.42	34	2 1 1
30.16	25	1 2 -2
33.41	27	2 2 0
34.10	20	2 1 -3

Structural model:
```
data_ZnP2O5
_chemical_formula_sum 'Zn4 P8 O20'
_space_group_name_H-M_alt 'P 1 21/c 1'
_space_group_IT_number 14
_cell_length_a 7.6205
_cell_length_b 7.6933
_cell_length_c 10.3688
_cell_angle_alpha 90.00
_cell_angle_beta 101.30
_cell_angle_gamma 90.00
loop_
_space_group_symop_operation_xyz
'x,y,z'
'-x,-y,-z'
'-x,y+1/2,-z+1/2'
'x,-y+1/2,z+1/2'
loop_
_atom_site_label
_atom_site_type_symbol
_atom_site_fract_x
_atom_site_fract_y
_atom_site_fract_z
Zn1 Zn 0.1904 0.0454 0.1011
P1 P 0.0374 0.1775 0.3531
P2 P 0.4636 0.1225 0.6899
O1 O 0.0250 0.1462 0.9224
O2 O 0.0772 0.2067 0.2162
O3 O 0.2860 0.6448 0.4936
O4 O 0.3352 0.6037 0.7613
O5 O 0.4097 0.2152 0.1075
```

=====

Structure and simulated X-ray diffraction stick pattern of ZnP2O4 (a DFT-relaxed cell (GGA-PBE, the Materials Project); CuKα).
No peak broadening, texture or thermal motion is included.

Largest 10 diffraction maxima, sorted by position, 10° ≤ 2θ ≤ 90°:
2theta	I/Imax	index
11.56	100	0 0 1
16.06	47	0 1 0
23.92	29	1 1 1
26.84	15	1 0 2
31.27	18	2 1 0
32.45	14	0 2 0
33.44	37	2 1 1
38.89	15	0 1 3
44.17	14	2 2 1
65.61	10	2 2 4

Structural model:
```
data_ZnP2O4
_chemical_formula_sum 'Zn2 P4 O8'
_space_group_name_H-M_alt 'P m m a'
_space_group_IT_number 51
_cell_length_a 6.6899
_cell_length_b 5.5180
_cell_length_c 7.6537
_cell_angle_alpha 90.00
_cell_angle_beta 90.00
_cell_angle_gamma 90.00
loop_
_space_group_symop_operation_xyz
'x,y,z'
'-x,-y,-z'
'-x+1/2,-y,z'
'x+1/2,y,-z'
'x+1/2,-y,-z'
'-x+1/2,y,z'
'-x,y,-z'
'x,-y,z'
loop_
_atom_site_label
_atom_site_type_symbol
_atom_site_fract_x
_atom_site_fract_y
_atom_site_fract_z
Zn1 Zn 0.0000 0.0000 0.0000
P1 P 0.2500 0.0000 0.3630
P2 P 0.2500 0.5000 0.8502
O1 O 0.0583 0.0000 0.2532
O2 O 0.2500 0.2709 0.9650
```

=====

Structure and simulated X-ray diffraction stick pattern of Zn4P2O13 (a DFT-relaxed cell (GGA-PBE, the Materials Project); CuKα).
No peak broadening, texture or thermal motion is included.

Largest 10 diffraction maxima, sorted by position, 10° ≤ 2θ ≤ 90°:
2theta	I/Imax	index
19.18	33	1 1 -1
19.48	26	1 1 0
23.63	24	1 1 1
23.93	15	2 1 -1
25.68	16	3 0 -2
26.09	100	2 1 0
29.18	20	1 1 -3
36.85	18	0 0 4
37.90	14	4 0 -4
46.77	13	2 2 -4

Structural model:
```
data_Zn4P2O13
_chemical_formula_sum 'Zn8 P4 O26'
_space_group_name_H-M_alt 'P 1 2/c 1'
_space_group_IT_number 13
_cell_length_a 10.4637
_cell_length_b 5.2988
_cell_length_c 11.4312
_cell_angle_alpha 90.00
_cell_angle_beta 121.35
_cell_angle_gamma 90.00
loop_
_space_group_symop_operation_xyz
'x,y,z'
'-x,-y,-z'
'-x,y,-z+1/2'
'x,-y,z+1/2'
loop_
_atom_site_label
_atom_site_type_symbol
_atom_site_fract_x
_atom_site_fract_y
_atom_site_fract_z
Zn1 Zn 0.0000 0.0000 0.0000
Zn2 Zn 0.0000 0.0474 0.2500
Zn3 Zn 0.2881 0.3036 0.0015
P1 P 0.1923 0.4824 0.7062
O1 O 0.0872 0.2857 0.1633
O2 O 0.0986 0.2322 0.6692
O3 O 0.1536 0.0218 0.9450
O4 O 0.2769 0.4787 0.6293
O5 O 0.3028 0.4780 0.8628
O6 O 0.4916 0.1016 0.1483
O7 O 0.5000 0.0286 0.7500
```

=====

Structure and simulated X-ray diffraction stick pattern of Zr2P4O17 (a DFT-relaxed cell (GGA-PBE, the Materials Project); CuKα).
No peak broadening, texture or thermal motion is included.

Largest 10 diffraction maxima, sorted by position, 10° ≤ 2θ ≤ 90°:
2theta	I/Imax	index
11.86	62	1 0 0
19.08	59	0 1 1
24.57	100	2 0 -2
32.62	31	0 2 0
33.77	13	3 0 -2
43.08	18	1 2 2
48.66	8	4 1 -1
50.36	13	2 2 2
50.99	10	2 1 -5
53.56	17	1 3 1

Structural model:
```
data_Zr2P4O17
_chemical_formula_sum 'Zr2 P4 O17'
_space_group_name_H-M_alt 'P 1 2/m 1'
_space_group_IT_number 10
_cell_length_a 8.1047
_cell_length_b 5.4839
_cell_length_c 9.5186
_cell_angle_alpha 90.00
_cell_angle_beta 112.95
_cell_angle_gamma 90.00
loop_
_space_group_symop_operation_xyz
'x,y,z'
'-x,-y,-z'
'-x,y,-z'
'x,-y,z'
loop_
_atom_site_label
_atom_site_type_symbol
_atom_site_fract_x
_atom_site_fract_y
_atom_site_fract_z
Zr1 Zr 0.0000 0.0000 0.0000
Zr2 Zr 0.0000 0.5000 0.5000
P1 P 0.2290 0.0000 0.7425
P2 P 0.2288 0.5000 0.2432
O1 O 0.1577 0.2289 0.6429
O2 O 0.1587 0.5000 0.3721
O3 O 0.1603 0.2708 0.1443
O4 O 0.1611 0.0000 0.8728
O5 O 0.4363 0.0000 0.8112
O6 O 0.4357 0.5000 0.3133
O7 O 0.5000 0.0000 0.5000
```

=====

Structure and simulated X-ray diffraction stick pattern of ZrP2O7 (a DFT-relaxed cell (GGA-PBE, the Materials Project); CuKα).
No peak broadening, texture or thermal motion is included.

Largest 10 diffraction maxima, sorted by position, 10° ≤ 2θ ≤ 90°:
2theta	I/Imax	index
16.55	31	1 1 0
20.73	100	1 0 1
23.21	18	1 1 1
24.49	19	1 2 0
29.48	19	1 2 1
32.51	24	2 1 1
32.67	9	0 0 2
47.45	16	2 2 2
48.04	8	3 2 1
53.23	11	3 1 2

Structural model:
```
data_ZrP2O7
_chemical_formula_sum 'Zr2 P4 O14'
_space_group_name_H-M_alt 'P n n m'
_space_group_IT_number 58
_cell_length_a 6.8634
_cell_length_b 8.5702
_cell_length_c 5.4825
_cell_angle_alpha 90.00
_cell_angle_beta 90.00
_cell_angle_gamma 90.00
loop_
_space_group_symop_operation_xyz
'x,y,z'
'-x,-y,-z'
'-x,-y,z'
'x,y,-z'
'x+1/2,-y+1/2,-z+1/2'
'-x+1/2,y+1/2,z+1/2'
'-x+1/2,y+1/2,-z+1/2'
'x+1/2,-y+1/2,z+1/2'
loop_
_atom_site_label
_atom_site_type_symbol
_atom_site_fract_x
_atom_site_fract_y
_atom_site_fract_z
Zr1 Zr 0.0000 0.0000 0.0000
P1 P 0.1880 0.3931 0.0000
O1 O 0.0000 0.5000 0.0000
O2 O 0.1170 0.2249 0.0000
O3 O 0.1990 0.9327 0.2691
```

=====

Q: What is the formula in the first record?
A: YZnPO

=====

Q: Number 7 is which compound?
A: ZrP2O7